(1)
Simulated powder XRD pattern of ErP for Cu Kα (λ = 1.5418 Å), from DFT lattice parameters and positions (PBE).
Kinematic intensities with the Lorentz-polarization factor, no thermal factor.

Structure:
```
data_ErP
_symmetry_space_group_name_H-M 'F m -3 m'
_symmetry_Int_Tables_number 225
_symmetry_space_group_name_Hall '-F 4 2 3'
_cell_length_a 5.613
_cell_length_b 5.613
_cell_length_c 5.613
_cell_angle_alpha 90.00
_cell_angle_beta 90.00
_cell_angle_gamma 90.00
loop_
_atom_site_label
_atom_site_type_symbol
_atom_site_fract_x
_atom_site_fract_y
_atom_site_fract_z
Er1 Er 0.000 0.000 0.000
P1 P 0.000 0.000 0.500
```

Top 9 peaks for 10° ≤ 2θ ≤ 90°, in order of rising 2θ:
2θ 27.52, I = 90, (1 1 1); 2θ 31.88, I = 100, (2 0 0); 2θ 45.72, I = 73, (2 2 0); 2θ 54.19, I = 44, (3 1 1); 2θ 56.82, I = 25, (2 2 2); 2θ 66.64, I = 12, (4 0 0); 2θ 73.54, I = 18, (3 3 1); 2θ 75.78, I = 33, (4 2 0); 2θ 84.57, I = 25, (4 2 2)


(2)
Simulated powder XRD pattern of PaGaFe2 for Cu Kα (λ = 1.5418 Å), from DFT lattice parameters and positions (PBE).
Kinematic intensities with the Lorentz-polarization factor, no thermal factor.

Structure:
```
data_PaGaFe2
_symmetry_space_group_name_H-M 'F m -3 m'
_symmetry_Int_Tables_number 225
_symmetry_space_group_name_Hall '-F 4 2 3'
_cell_length_a 6.258
_cell_length_b 6.258
_cell_length_c 6.258
_cell_angle_alpha 90.00
_cell_angle_beta 90.00
_cell_angle_gamma 90.00
loop_
_atom_site_label
_atom_site_type_symbol
_atom_site_fract_x
_atom_site_fract_y
_atom_site_fract_z
Pa1 Pa 0.000 0.000 0.000
Ga1 Ga 0.000 0.000 0.500
Fe1 Fe 0.250 0.250 0.250
```

Top 10 peaks for 10° ≤ 2θ ≤ 90°, in order of rising 2θ:
2θ 24.64, I = 32, (1 1 1); 2θ 28.53, I = 24, (2 0 0); 2θ 40.79, I = 100, (2 2 0); 2θ 48.23, I = 17, (3 1 1); 2θ 50.52, I = 7, (2 2 2); 2θ 59.05, I = 17, (4 0 0); 2θ 64.96, I = 7, (3 3 1); 2θ 66.86, I = 10, (4 2 0); 2θ 74.25, I = 33, (4 2 2); 2θ 88.36, I = 11, (4 4 0)


(3)
Simulated powder XRD pattern of MgV2S4 for Cu Kα (λ = 1.5418 Å), from DFT lattice parameters and positions (PBE).
Kinematic intensities with the Lorentz-polarization factor, no thermal factor.

Structure:
```
data_MgV2S4
_symmetry_space_group_name_H-M 'P -3 m 1'
_symmetry_Int_Tables_number 164
_symmetry_space_group_name_Hall '-P 3 2"'
_cell_length_a 3.2638
_cell_length_b 3.2638
_cell_length_c 12.9921
_cell_angle_alpha 90.00
_cell_angle_beta 90.00
_cell_angle_gamma 120.00
loop_
_atom_site_label
_atom_site_type_symbol
_atom_site_fract_x
_atom_site_fract_y
_atom_site_fract_z
Mg1 Mg 0.0000 0.0000 0.0000
V1 V 0.3333 0.6667 0.7536
S1 S 0.3333 0.6667 0.1293
S2 S 0.3333 0.6667 0.3582
```

Top 10 peaks for 10° ≤ 2θ ≤ 90°, in order of rising 2θ:
2θ 13.63, I = 89, (0 0 2); 2θ 31.66, I = 31, (1 0 0); 2θ 34.61, I = 42, (1 0 2); 2θ 38.02, I = 100, (0 1 3); 2θ 47.53, I = 77, (1 0 5); 2θ 56.38, I = 41, (1 1 0); 2θ 56.68, I = 11, (0 0 8); 2θ 70.03, I = 14, (2 0 3); 2θ 76.77, I = 17, (0 2 5); 2θ 84.09, I = 20, (1 1 8)